Starting from a PBE-relaxed structure, the X-ray powder pattern of TbB2Rh3 was simulated for Cu Kα (weighted mean of Kα1 and Kα2).
Peak positions follow from Bragg's law for the DFT cell and can differ from measured ones.

Top 12 peaks for 10 to 80 degrees two-theta, by angle:
2theta, intensity
18.82, 4
28.41, 7
34.30, 80
38.18, 100
44.02, 47
48.27, 13
58.78, 11
59.65, 33
66.53, 14
69.01, 19
72.28, 30
79.38, 14

Structure:
```
TbB2Rh3
1.0
5.4437 0.0000 0.0000
-2.7219 4.7144 0.0000
0.0000 0.0000 3.1419
Tb B Rh
1 2 3
Direct
0.0000 0.0000 0.0000
0.3333 0.6667 0.0000
0.6667 0.3333 0.0000
0.0000 0.5000 0.5000
0.5000 0.0000 0.5000
0.5000 0.5000 0.5000
```